Simulated XRD peak list
Compound: CeNi3Os
Radiation: Cu Ka
Structure: a crystal structure in Alexandria, relaxed with PBE
No peak broadening, texture or thermal motion is included.

Largest 10 diffraction maxima, low angle first, 2θ from 5° to 70°:
- 2θ = 14.57°, intensity 28
- 2θ = 18.72°, intensity 35
- 2θ = 28.03°, intensity 40
- 2θ = 33.44°, intensity 24
- 2θ = 34.86°, intensity 20
- 2θ = 39.23°, intensity 29
- 2θ = 41.07°, intensity 100
- 2θ = 42.27°, intensity 65
- 2θ = 47.31°, intensity 45
- 2θ = 66.74°, intensity 25

Crystal structure
Lattice parameters (Å, degrees): 6.6003 6.6003 4.9608 90.00 90.00 134.11
Fractional positions:
1 Ce 0.1166 0.8834 0.7500
2 Ce 0.8834 0.1166 0.2500
3 Ni 0.1071 0.4133 0.7500
4 Ni 0.3160 0.6840 0.2500
5 Ni 0.4133 0.1071 0.2500
6 Ni 0.5867 0.8929 0.7500
7 Ni 0.6840 0.3160 0.7500
8 Ni 0.8929 0.5867 0.2500
9 Os 0.5000 0.5000 0.0000
10 Os 0.5000 0.5000 0.5000